Simulated XRD peak list
Compound: Ho3InPd
Radiation: Cu Kα (weighted mean of Kα1 and Kα2)
Structure: the GGA-PBE geometry in Alexandria

Crystal structure
```
Ho3InPd
1.0
6.6920 -5.6042 0.0000
6.6920 5.6042 0.0000
-0.0016 0.0000 7.4018
Ho In Pd
12 4 4
direct
0.0292 0.1911 0.4039 Ho
0.0653 0.4345 0.7819 Ho
0.1911 0.0292 0.9039 Ho
0.3089 0.4697 0.4039 Ho
0.4345 0.0653 0.2819 Ho
0.4697 0.3089 0.9039 Ho
0.5303 0.6911 0.0961 Ho
0.5655 0.9347 0.7181 Ho
0.6911 0.5303 0.5961 Ho
0.8089 0.9708 0.0961 Ho
0.9347 0.5655 0.2181 Ho
0.9708 0.8089 0.5961 Ho
0.1825 0.8175 0.2500 In
0.3183 0.6817 0.7500 In
0.6817 0.3183 0.2500 In
0.8175 0.1825 0.7500 In
0.1897 0.3093 0.1147 Pd
0.3093 0.1897 0.6147 Pd
0.6907 0.8103 0.3853 Pd
0.8103 0.6907 0.8853 Pd
```

Most intense lines, 5° ≤ 2θ ≤ 70°, low angle first:
d/Å, Position (°2θ), I/Imax
3.617, 24.62, 369
3.088, 28.91, 258
2.873, 31.13, 245
2.761, 32.43, 572
2.675, 33.50, 1000
2.621, 34.22, 692
2.482, 36.19, 295
2.258, 39.92, 460
1.620, 56.83, 299
1.410, 66.28, 176

---

Simulated XRD peak list
Compound: AcMgCd2Pd
Radiation: Cu Kα (weighted mean of Kα1 and Kα2)
Structure: the GGA-PBE geometry in Alexandria

Crystal structure
```
AcMgCd2Pd
1.0
-2.0580 2.2639 6.7541
2.0580 -2.2639 6.7541
2.0580 2.2639 -6.7541
Ac Mg Cd Pd
1 1 2 1
direct
0.0000 0.0000 0.0000 Ac
0.2737 0.7737 0.5000 Mg
0.6255 0.6255 0.0000 Cd
0.7817 0.2817 0.5000 Cd
0.4162 0.4162 0.0000 Pd
```

Most intense lines, 5° ≤ 2θ ≤ 70°, low angle first:
d/Å, Position (°2θ), I/Imax
6.754, 13.11, 251
3.193, 27.95, 309
3.041, 29.37, 833
2.776, 32.24, 1000
2.320, 38.82, 418
2.262, 39.86, 633
2.058, 44.00, 214
1.815, 50.26, 221
1.540, 60.10, 230
1.523, 60.83, 161

---

Simulated XRD peak list
Compound: Li3Cu3P2O8
Radiation: Cu Kα (weighted mean of Kα1 and Kα2)
Structure: the GGA-PBE geometry in Alexandria

Crystal structure
```
Li3Cu3P2O8
1.0
5.1970 0.0000 0.0000
-0.0418 5.4837 0.0000
-0.0319 -0.1822 6.2069
Li Cu P O
3 3 2 8
direct
0.0000 0.0000 0.0000 Li
0.0064 0.5321 0.2391 Li
0.4996 0.3621 0.4735 Li
0.4435 0.9402 0.7253 Cu
0.5373 0.3455 0.9426 Cu
0.9258 0.0176 0.5597 Cu
0.0112 0.4922 0.7396 P
0.5047 0.8434 0.2314 P
0.3085 0.4895 0.7233 O
0.3875 0.9722 0.0309 O
0.3962 0.5794 0.2403 O
0.4075 0.0055 0.4262 O
0.8032 0.8450 0.2290 O
0.8937 0.3730 0.5261 O
0.9160 0.7588 0.7616 O
0.9257 0.3561 0.9478 O
```

Most intense lines, 5° ≤ 2θ ≤ 70°, low angle first:
d/Å, Position (°2θ), I/Imax
6.207, 14.27, 1000
4.170, 21.31, 639
3.995, 22.25, 449
3.255, 27.40, 400
2.740, 32.68, 709
2.668, 33.59, 854
2.598, 34.52, 890
2.480, 36.22, 413
2.419, 37.16, 859
2.401, 37.45, 275

---

Simulated XRD peak list
Compound: Cu2H8Rh3
Radiation: Cu Kα (weighted mean of Kα1 and Kα2)
Structure: the GGA-PBE geometry in Alexandria

Crystal structure
```
Cu2H8Rh3
1.0
4.5369 -2.7625 0.0000
4.5369 2.7625 0.0000
-1.2691 0.0000 4.7492
Cu H Rh
2 8 3
direct
0.2462 0.2462 0.4334 Cu
0.7538 0.7538 0.5666 Cu
0.1116 0.1116 0.7356 H
0.1501 0.6649 0.7777 H
0.3351 0.8499 0.2223 H
0.4109 0.4109 0.3062 H
0.5891 0.5891 0.6938 H
0.6649 0.1501 0.7777 H
0.8499 0.3351 0.2223 H
0.8884 0.8884 0.2644 H
0.0000 0.0000 0.0000 Rh
0.2397 0.7603 0.5000 Rh
0.7603 0.2397 0.5000 Rh
```

Most intense lines, 5° ≤ 2θ ≤ 70°, low angle first:
d/Å, Position (°2θ), I/Imax
4.749, 18.68, 932
4.674, 18.99, 503
4.383, 20.26, 492
3.587, 24.82, 370
2.375, 37.89, 451
2.337, 38.52, 317
2.221, 40.61, 1000
2.192, 41.19, 444
1.991, 45.57, 808
1.869, 48.73, 245

---

Simulated XRD peak list
Compound: ErMgZrMn
Radiation: Cu Kα (weighted mean of Kα1 and Kα2)
Structure: the GGA-PBE geometry in Alexandria

Crystal structure
```
ErMgZrMn
1.0
0.0000 3.4942 3.4942
3.4942 0.0000 3.4942
3.4942 3.4942 0.0000
Er Mg Zr Mn
1 1 1 1
direct
0.0000 0.0000 0.0000 Er
0.7500 0.7500 0.7500 Mg
0.5000 0.5000 0.5000 Zr
0.2500 0.2500 0.2500 Mn
```

Most intense lines, 5° ≤ 2θ ≤ 70°, low angle first:
d/Å, Position (°2θ), I/Imax
4.035, 22.03, 122
3.494, 25.49, 336
2.471, 36.36, 1000
2.107, 42.92, 68
2.017, 44.93, 100
1.747, 52.37, 172
1.603, 57.48, 29
1.563, 59.12, 136
1.426, 65.43, 345
1.345, 69.95, 22

---

Simulated XRD peak list
Compound: Rb2PbCl6F
Radiation: Cu Kα (weighted mean of Kα1 and Kα2)
Structure: the GGA-PBE geometry in Alexandria

Crystal structure
```
Rb2PbCl6F
1.0
-4.0448 4.0448 4.5469
4.0448 -4.0448 4.5469
4.0448 4.0448 -4.5469
Rb Pb Cl F
2 1 6 1
direct
0.2500 0.7500 0.5000 Rb
0.7500 0.2500 0.5000 Rb
0.0000 0.0000 0.0000 Pb
0.2287 0.2287 0.4573 Cl
0.2287 0.7713 0.0000 Cl
0.2723 0.2723 0.0000 Cl
0.7277 0.7277 0.0000 Cl
0.7713 0.2287 0.0000 Cl
0.7713 0.7713 0.5427 Cl
0.5000 0.5000 0.0000 F
```

Most intense lines, 5° ≤ 2θ ≤ 70°, low angle first:
d/Å, Position (°2θ), I/Imax
6.044, 14.66, 1000
4.045, 21.98, 592
3.559, 25.02, 873
3.362, 26.52, 325
2.860, 31.27, 845
2.839, 31.52, 244
2.230, 40.46, 478
2.178, 41.45, 224
2.022, 44.82, 286
1.780, 51.34, 375

---

Simulated XRD peak list
Compound: Tm4MgTe2
Radiation: Cu Kα (weighted mean of Kα1 and Kα2)
Structure: the GGA-PBE geometry in Alexandria

Crystal structure
```
Tm4MgTe2
1.0
0.0000 6.2904 7.2227
4.6437 0.0000 7.2227
4.6437 6.2904 0.0000
Tm Mg Te
8 2 4
direct
0.1215 0.2912 0.3465 Tm
0.2592 0.6535 0.7088 Tm
0.2912 0.1215 0.7408 Tm
0.3465 0.7408 0.1215 Tm
0.6535 0.2592 0.8785 Tm
0.7088 0.8785 0.2592 Tm
0.7408 0.3465 0.2912 Tm
0.8785 0.7088 0.6535 Tm
0.3750 0.3750 0.3750 Mg
0.6250 0.6250 0.6250 Mg
0.0000 0.0000 0.0000 Te
0.0000 0.0000 0.5000 Te
0.0000 0.5000 0.0000 Te
0.5000 0.0000 0.0000 Te
```

Most intense lines, 5° ≤ 2θ ≤ 70°, low angle first:
d/Å, Position (°2θ), I/Imax
3.611, 24.65, 486
3.145, 28.38, 861
2.994, 29.85, 363
2.943, 30.37, 1000
2.695, 33.25, 527
2.453, 36.64, 531
2.372, 37.94, 348
2.305, 39.08, 313
1.935, 46.96, 290
1.865, 48.82, 387

---

Simulated XRD peak list
Compound: Tb6Sm4Dy
Radiation: Cu Kα (weighted mean of Kα1 and Kα2)
Structure: the GGA-PBE geometry in Alexandria

Crystal structure
```
Tb6Sm4Dy
1.0
2.9037 -4.8162 0.0000
2.9037 4.8162 0.0000
0.0000 0.0000 25.6724
Tb Sm Dy
12 8 2
direct
0.0000 0.0000 0.0000 Tb
0.0000 0.0000 0.5000 Tb
0.0388 0.9612 0.7500 Tb
0.3005 0.6995 0.1057 Tb
0.3005 0.6995 0.3943 Tb
0.3707 0.6293 0.6828 Tb
0.3707 0.6293 0.8172 Tb
0.6293 0.3707 0.1828 Tb
0.6293 0.3707 0.3172 Tb
0.6995 0.3005 0.6057 Tb
0.6995 0.3005 0.8943 Tb
0.9612 0.0388 0.2500 Tb
0.0426 0.9574 0.6219 Sm
0.0426 0.9574 0.8781 Sm
0.3499 0.6501 0.5443 Sm
0.3499 0.6501 0.9557 Sm
0.6501 0.3499 0.0443 Sm
0.6501 0.3499 0.4557 Sm
0.9574 0.0426 0.1219 Sm
0.9574 0.0426 0.3781 Sm
0.2972 0.7028 0.2500 Dy
0.7028 0.2972 0.7500 Dy
```

Most intense lines, 5° ≤ 2θ ≤ 70°, low angle first:
d/Å, Position (°2θ), I/Imax
2.952, 30.28, 759
2.918, 30.64, 627
2.904, 30.79, 822
2.810, 31.85, 1000
2.793, 32.04, 471
2.696, 33.23, 610
2.058, 43.99, 467
1.658, 55.42, 209
1.636, 56.21, 166
1.605, 57.41, 230